(1)
Starting from a structure optimized by DFT (GGA-PBE), the PXRD pattern of RbPrNb2O7 was simulated for Cu Kα X-rays.
Peak positions follow from Bragg's law for the DFT cell and can differ from measured ones.

Crystal structure
a b c (Å): 11.8934 11.8934 11.8934
angles (deg): 153.09 38.63 152.81
Atoms (fractional coordinates):
Rb: 0.0000 0.0000 0.0000
Rb: 0.5000 0.0000 0.5000
Pr: 0.2594 0.0094 0.2500
Pr: 0.7406 0.9906 0.7500
Nb: 0.1437 0.4954 0.6483
Nb: 0.3470 0.4954 0.8517
Nb: 0.6530 0.5046 0.1483
Nb: 0.8563 0.5046 0.3517
O: 0.0069 0.4376 0.5694
O: 0.0712 0.0000 0.5712
O: 0.0712 0.5000 0.0712
O: 0.3237 0.5737 0.7500
O: 0.3682 0.4376 0.9306
O: 0.4043 0.0000 0.9043
O: 0.4043 0.5000 0.4043
O: 0.5957 0.0000 0.0957
O: 0.5957 0.5000 0.5957
O: 0.6318 0.5624 0.0694
O: 0.6763 0.4263 0.2500
O: 0.9288 0.0000 0.4288
O: 0.9288 0.5000 0.9288
O: 0.9931 0.5624 0.4306

Peak list (12 most intense, 10° ≤ 2θ ≤ 90°, low angle first)
2θ 27.69, intensity 100
2θ 31.89, intensity 8
2θ 32.01, intensity 18
2θ 32.35, intensity 19
2θ 33.04, intensity 12
2θ 39.45, intensity 8
2θ 45.81, intensity 9
2θ 46.13, intensity 31
2θ 54.45, intensity 15
2θ 54.90, intensity 15
2θ 57.19, intensity 7
2θ 74.28, intensity 6

(2)
Starting from a structure optimized by DFT (GGA-PBE), the PXRD pattern of PuNb6O12 was simulated for Cu Kα X-rays.
Peak positions follow from Bragg's law for the DFT cell and can differ from measured ones.

Crystal structure
a b c (Å): 6.3502 6.3502 6.3502
angles (deg): 104.42 104.42 104.42
Atoms (fractional coordinates):
Pu: 0.0000 0.0000 0.0000
Nb: 0.2330 0.2330 0.6260
Nb: 0.2330 0.6260 0.2330
Nb: 0.3740 0.7670 0.7670
Nb: 0.6260 0.2330 0.2330
Nb: 0.7670 0.3740 0.7670
Nb: 0.7670 0.7670 0.3740
O: 0.1307 0.5000 0.8693
O: 0.1307 0.8693 0.5000
O: 0.1872 0.4675 0.4675
O: 0.4675 0.1872 0.4675
O: 0.4675 0.4675 0.1872
O: 0.5000 0.1307 0.8693
O: 0.5000 0.8693 0.1307
O: 0.5325 0.5325 0.8128
O: 0.5325 0.8128 0.5325
O: 0.8128 0.5325 0.5325
O: 0.8693 0.1307 0.5000
O: 0.8693 0.5000 0.1307

Peak list (12 most intense, 10° ≤ 2θ ≤ 90°, low angle first)
2θ 25.05, intensity 18
2θ 29.51, intensity 100
2θ 34.53, intensity 18
2θ 35.76, intensity 70
2θ 39.08, intensity 14
2θ 50.58, intensity 18
2θ 54.05, intensity 18
2θ 54.84, intensity 29
2θ 58.10, intensity 18
2θ 60.40, intensity 12
2θ 66.45, intensity 14
2θ 84.06, intensity 11

(3)
Starting from a structure optimized by DFT (GGA-PBE), the PXRD pattern of Sr2PuNbO6 was simulated for Cu Kα X-rays.
Peak positions follow from Bragg's law for the DFT cell and can differ from measured ones.

Crystal structure
a b c (Å): 4.2274 4.2274 8.5441
angles (deg): 90.00 90.00 90.00
Atoms (fractional coordinates):
Sr: 0.0000 0.0000 0.2292
Sr: 0.0000 0.0000 0.7708
Pu: 0.5000 0.5000 0.5000
Nb: 0.5000 0.5000 0.0000
O: 0.0000 0.5000 0.0000
O: 0.0000 0.5000 0.5000
O: 0.5000 0.0000 0.0000
O: 0.5000 0.0000 0.5000
O: 0.5000 0.5000 0.2334
O: 0.5000 0.5000 0.7666

Peak list (12 most intense, 10° ≤ 2θ ≤ 90°, low angle first)
2θ 10.35, intensity 14
2θ 21.01, intensity 19
2θ 23.48, intensity 20
2θ 29.73, intensity 100
2θ 29.89, intensity 50
2θ 42.31, intensity 15
2θ 42.78, intensity 31
2θ 52.67, intensity 19
2θ 52.96, intensity 41
2θ 61.74, intensity 18
2θ 70.39, intensity 18
2θ 85.98, intensity 13